Record 1
# Li3Ti2P3O12
Theoretical PXRD pattern, Cu Kα (λ = 1.5418 Å). Input: a cell relaxed with GGA-PBE.
Kinematic intensities with the Lorentz-polarization factor, no thermal factor.

```
40
Lattice="8.463 0.000 0.000 4.221 7.355 0.000 4.231 2.425 7.699" Properties=species:S:1:pos:R:3 pbc="T T T"
Li 0.000 0.000 0.000
Li 6.957 7.680 5.542
Li 3.801 2.947 0.024
Li 6.925 2.453 3.880
Li 7.768 4.855 0.006
Li 10.559 5.117 5.544
Ti 5.241 5.031 2.314
Ti 9.428 7.468 3.248
Ti 9.453 2.535 6.274
Ti 13.715 5.012 6.991
P 4.023 2.874 4.744
P 7.045 7.507 0.887
P 7.752 5.002 4.707
P 6.483 2.301 0.849
P 12.470 7.142 4.712
P 10.730 5.360 0.823
O 3.638 4.658 1.026
O 4.943 3.343 5.932
O 4.487 3.549 3.460
O 2.454 1.579 0.425
O 6.942 5.673 5.878
O 5.775 6.629 1.009
O 8.388 8.687 4.641
O 7.790 7.571 2.237
O 6.932 4.928 3.424
O 6.359 3.848 0.978
O 9.030 5.868 4.553
O 12.225 9.242 7.540
O 8.131 3.538 5.078
O 6.107 1.651 2.184
O 9.726 4.326 7.388
O 11.127 7.845 4.407
O 10.276 6.098 2.071
O 12.224 6.146 5.908
O 7.929 1.904 0.472
O 13.538 8.179 5.125
O 9.679 4.295 0.387
O 11.019 3.240 5.114
O 15.173 8.795 7.328
O 12.953 6.370 3.478
```

Peak list (10 most intense, 2θ from 15° to 90°, by angle)
2θ/deg	intensity
19.6	53
24.0	100
28.8	38
31.4	33
31.4	26
32.5	12
36.8	10
46.5	9
49.1	9
51.5	11



Record 2
# Rb5Ag3As3
Theoretical PXRD pattern, Cu Kα (λ = 1.5418 Å). Input: a cell relaxed with GGA-PBE.
Kinematic intensities with the Lorentz-polarization factor, no thermal factor.

```
11
Lattice="9.032 -5.210 0.000 9.032 5.210 0.000 -0.059 0.000 4.750" Properties=species:S:1:pos:R:3 pbc="T T T"
Rb 0.000 0.000 0.000
Rb 5.994 2.795 2.370
Rb 12.010 2.795 2.380
Rb 6.547 -1.017 4.721
Rb 11.457 -1.017 0.029
Ag 2.859 1.130 2.446
Ag 9.002 0.914 2.375
Ag 15.145 1.130 2.304
As 3.513 0.763 0.078
As 9.032 1.638 0.000
As 14.491 0.763 4.672
```

Peak list (10 most intense, 2θ from 15° to 90°, by angle)
2θ/deg	intensity
17.0	70
25.2	21
25.4	22
25.5	23
26.1	29
29.7	100
32.1	15
37.9	26
48.7	16
49.0	16



Record 3
# Y2PuSb3
Theoretical PXRD pattern, Cu Kα (λ = 1.5418 Å). Input: a cell relaxed with GGA-PBE.
Kinematic intensities with the Lorentz-polarization factor, no thermal factor.

```
6
Lattice="-2.207 3.111 6.591 2.207 -3.111 6.591 2.207 3.111 -6.591" Properties=species:S:1:pos:R:3 pbc="T T T"
Y 0.000 0.000 2.197
Y 0.000 0.000 10.986
Pu 0.000 0.000 6.591
Sb 2.207 0.000 0.000
Sb 2.207 0.000 4.396
Sb 0.000 3.111 2.195
```

Peak list (10 most intense, 2θ from 15° to 90°, by angle)
2θ/deg	intensity
15.7	8
28.7	100
40.9	13
41.0	63
50.7	14
50.9	14
59.4	13
67.3	23
74.5	9
74.8	13



Record 4
# NbAg3Cl9
Theoretical PXRD pattern, Cu Kα (λ = 1.5418 Å). Input: a cell relaxed with GGA-PBE.
Kinematic intensities with the Lorentz-polarization factor, no thermal factor.

```
26
Lattice="8.826 -5.063 0.000 8.826 5.063 0.000 -8.501 0.000 9.917" Properties=species:S:1:pos:R:3 pbc="T T T"
Nb 4.575 2.564 4.958
Nb 8.826 -2.564 0.000
Ag -1.203 3.635 8.812
Ag 1.238 3.377 6.631
Ag 3.966 0.283 9.772
Ag 3.048 -3.635 3.853
Ag 5.488 -3.377 1.672
Ag 8.216 -0.283 4.814
Cl 3.265 4.705 5.841
Cl 4.132 3.487 2.832
Cl 1.125 3.011 9.111
Cl 2.383 1.547 4.896
Cl 6.508 3.800 5.178
Cl 4.646 2.019 7.253
Cl 5.579 0.640 4.149
Cl 11.831 2.141 1.316
Cl -1.868 -1.547 9.854
Cl 9.430 1.558 3.872
Cl 1.329 -0.640 9.107
Cl -0.118 -3.487 7.791
Cl 5.375 -3.011 4.152
Cl 8.897 -2.019 2.295
Cl 5.179 -1.558 8.830
Cl 7.515 -4.705 0.882
Cl 7.581 -2.141 6.275
Cl 10.758 -3.800 0.220
```

Peak list (10 most intense, 2θ from 15° to 90°, by angle)
2θ/deg	intensity
16.7	100
17.9	53
19.7	34
20.2	41
22.3	36
26.9	27
27.3	46
42.5	28
44.9	27
45.3	27



Record 5
# Y2TlPb
Theoretical PXRD pattern, Cu Kα (λ = 1.5418 Å). Input: a cell relaxed with GGA-PBE.
Kinematic intensities with the Lorentz-polarization factor, no thermal factor.

```
4
Lattice="4.599 0.000 0.000 0.000 4.371 0.000 -2.299 0.000 5.794" Properties=species:S:1:pos:R:3 pbc="T T T"
Y 0.000 0.000 0.000
Y -0.004 2.186 3.077
Tl 2.301 2.186 0.395
Pb 2.296 0.000 2.611
```

Peak list (10 most intense, 2θ from 15° to 90°, by angle)
2θ/deg	intensity
20.8	35
25.5	19
29.2	96
30.9	36
36.7	100
37.2	18
39.2	28
41.3	25
50.7	18
58.2	18



Record 6
# BaMg6SnO8
Theoretical PXRD pattern, Cu Kα (λ = 1.5418 Å). Input: a cell relaxed with GGA-PBE.
Kinematic intensities with the Lorentz-polarization factor, no thermal factor.

```
16
Lattice="4.770 0.000 0.000 0.000 4.770 0.000 0.000 0.000 9.188" Properties=species:S:1:pos:R:3 pbc="T T T"
Ba 0.000 0.000 0.000
Mg 0.000 0.000 4.594
Mg 0.000 2.385 2.573
Mg 0.000 2.385 6.615
Mg 2.385 0.000 2.573
Mg 2.385 0.000 6.615
Mg 2.385 2.385 4.594
Sn 2.385 2.385 0.000
O 0.000 0.000 2.620
O 0.000 0.000 6.568
O 0.000 2.385 0.000
O 0.000 2.385 4.594
O 2.385 0.000 0.000
O 2.385 0.000 4.594
O 2.385 2.385 2.565
O 2.385 2.385 6.623
```

Peak list (10 most intense, 2θ from 15° to 90°, by angle)
2θ/deg	intensity
19.3	42
26.4	35
28.2	64
29.2	30
32.9	73
37.7	100
39.2	37
48.4	29
54.4	32
55.5	50



Record 7
# HfZrAsP
Theoretical PXRD pattern, Cu Kα (λ = 1.5418 Å). Input: a cell relaxed with GGA-PBE.
Kinematic intensities with the Lorentz-polarization factor, no thermal factor.

```
4
Lattice="1.857 1.072 6.458 -1.857 1.072 6.458 0.000 -2.144 6.458" Properties=species:S:1:pos:R:3 pbc="T T T"
Hf 0.000 0.000 0.000
Zr 0.000 0.000 3.558
As 0.000 0.000 8.199
P 0.000 0.000 11.505
```

Peak list (10 most intense, 2θ from 15° to 90°, by angle)
2θ/deg	intensity
28.1	41
29.3	44
33.4	36
36.3	100
43.1	37
49.1	50
55.4	17
62.5	20
78.5	19
83.3	18



Record 8
# Ca8Sn2Au
Theoretical PXRD pattern, Cu Kα (λ = 1.5418 Å). Input: a cell relaxed with GGA-PBE.
Kinematic intensities with the Lorentz-polarization factor, no thermal factor.

```
11
Lattice="9.594 -2.655 0.000 9.594 2.655 0.000 -2.242 0.000 6.956" Properties=species:S:1:pos:R:3 pbc="T T T"
Ca -0.172 0.000 2.023
Ca 2.191 0.000 5.514
Ca 5.410 0.000 3.822
Ca 7.609 0.000 0.485
Ca 9.336 0.000 6.471
Ca 11.534 0.000 3.133
Ca 14.753 0.000 1.441
Ca 17.117 0.000 4.932
Sn 3.091 0.000 1.462
Sn 13.854 0.000 5.494
Au 8.472 0.000 3.478
```

Peak list (10 most intense, 2θ from 15° to 90°, by angle)
2θ/deg	intensity
18.3	75
19.7	60
20.7	93
22.2	66
29.2	37
29.8	37
32.4	100
33.8	77
34.1	88
37.0	49